Al2CrH5: simulated powder X-ray diffraction pattern (Cu Kα, 1.54184 Å), based on DFT lattice parameters and positions (PBE).
No peak broadening, texture or thermal motion is included.

abc: 4.370 4.370 4.201
angles: 117.81 117.81 67.32
Fractional coordinates of all 8 atoms:
Al1 0.244 0.244 0.242
Al2 0.756 0.756 0.758
Cr1 0.078 0.922 0.500
H1 0.315 0.659 0.736
H2 0.341 0.685 0.264
H3 0.346 0.199 0.815
H4 0.729 0.271 0.500
H5 0.801 0.654 0.185

Principal peaks in the range 2θ = 10–80°, in order of falling intensity:
- d 3.775, 2θ 23.57, intensity 100.0
- d 2.202, 2θ 40.99, intensity 76.3
- d 2.168, 2θ 41.66, intensity 72.6
- d 2.422, 2θ 37.12, intensity 44.0
- d 3.413, 2θ 26.11, intensity 39.2
- d 2.100, 2θ 43.07, intensity 37.4